(1)
Structure and simulated X-ray diffraction stick pattern of PmCd7Cu5 (a crystal structure in Alexandria, relaxed with GGA-PBE; a wavelength of 1.5418 Å).
No peak broadening, texture or thermal motion is included.

Structure:
abc: 5.3142 9.5047 9.5351
angles: 90.00 90.00 90.00
Space group Imm2 (No. 44)
Unique sites:
Pm 0.0000 0.0000 0.0000 (multiplicity 2)
Cd 0.0000 0.0000 0.3322 (multiplicity 2)
Cd 0.0000 0.0000 0.6503 (multiplicity 2)
Cd 0.0000 0.2944 0.4874 (multiplicity 4)
Cd 0.0000 0.3442 0.9776 (multiplicity 4)
Cd 0.0000 0.5000 0.2646 (multiplicity 2)
Cu 0.0000 0.5000 0.7052 (multiplicity 2)
Cu 0.2491 0.2394 0.2322 (multiplicity 8)

Largest 6 diffraction maxima, in order of rising 2θ, 10 to 80 degrees two-theta:
Position (°2θ), Rel. int.
32.88, 588
33.73, 271
37.74, 263
38.06, 1000
38.81, 455
43.39, 439

---

(2)
Structure and simulated X-ray diffraction stick pattern of Pm6Cd5Cu (a crystal structure in Alexandria, relaxed with GGA-PBE; a wavelength of 1.5418 Å).
No peak broadening, texture or thermal motion is included.

Structure:
abc: 5.3378 7.6658 16.0062
angles: 90.00 90.00 90.00
Space group Immm (No. 71)
Unique sites:
Pm 0.0000 0.2344 0.0000 (multiplicity 4)
Pm 0.0000 0.2593 0.3400 (multiplicity 8)
Cd 0.0000 0.0000 0.1774 (multiplicity 4)
Cd 0.0000 0.0000 0.5000 (multiplicity 2)
Cd 0.0000 0.5000 0.1676 (multiplicity 4)
Cu 0.0000 0.5000 0.5000 (multiplicity 2)

Largest 6 diffraction maxima, in order of rising 2θ, 10 to 80 degrees two-theta:
Position (°2θ), Rel. int.
33.32, 1000
33.59, 490
48.23, 171
59.38, 178
59.89, 343
69.97, 104

---

(3)
Structure and simulated X-ray diffraction stick pattern of Pr7Cd2Cu2 (a crystal structure in Alexandria, relaxed with GGA-PBE; a wavelength of 1.5418 Å).
No peak broadening, texture or thermal motion is included.

Structure:
abc: 8.1262 11.5264 7.4192
angles: 90.00 90.00 90.00
Space group Cmmm (No. 65)
Unique sites:
Pr 0.0000 0.0000 0.0000 (multiplicity 2)
Pr 0.0000 0.5000 0.2435 (multiplicity 4)
Pr 0.2500 0.2500 0.2608 (multiplicity 8)
Cd 0.1705 0.0000 0.5000 (multiplicity 4)
Cu 0.0000 0.2944 0.0000 (multiplicity 4)

Largest 6 diffraction maxima, in order of rising 2θ, 10 to 80 degrees two-theta:
Position (°2θ), Rel. int.
24.99, 308
26.85, 693
27.54, 570
31.03, 700
35.40, 486
36.31, 1000

---

(4)
Structure and simulated X-ray diffraction stick pattern of Pr2CdCu2 (a crystal structure in Alexandria, relaxed with GGA-PBE; a wavelength of 1.5418 Å).
No peak broadening, texture or thermal motion is included.

Structure:
abc: 9.6261 6.0568 4.5290
angles: 90.00 117.89 90.00
Space group C2/m (No. 12)
Unique sites:
Pr 0.2080 0.0000 0.2085 (multiplicity 4)
Cd 0.0000 0.5000 0.0000 (multiplicity 2)
Cu 0.0000 0.2070 0.5000 (multiplicity 4)

Largest 6 diffraction maxima, in order of rising 2θ, 10 to 80 degrees two-theta:
Position (°2θ), Rel. int.
29.50, 158
32.44, 1000
34.93, 203
36.42, 144
37.25, 413
39.81, 261

---

(5)
Structure and simulated X-ray diffraction stick pattern of Pr3Cd2Cu (a crystal structure in Alexandria, relaxed with GGA-PBE; a wavelength of 1.5418 Å).
No peak broadening, texture or thermal motion is included.

Structure:
abc: 5.3253 16.0122 7.7397
angles: 90.00 90.00 90.00
Space group Cmmm (No. 65)
Unique sites:
Pr 0.0000 0.0000 0.2406 (multiplicity 4)
Pr 0.0000 0.3279 0.2313 (multiplicity 8)
Cd 0.0000 0.1656 0.5000 (multiplicity 4)
Cd 0.0000 0.5000 0.0000 (multiplicity 2)
Cd 0.0000 0.5000 0.5000 (multiplicity 2)
Cu 0.0000 0.1573 0.0000 (multiplicity 4)

Largest 6 diffraction maxima, in order of rising 2θ, 10 to 80 degrees two-theta:
Position (°2θ), Rel. int.
33.18, 1000
33.62, 491
48.28, 172
58.99, 172
59.79, 170
59.89, 177

---

(6)
Structure and simulated X-ray diffraction stick pattern of CdCu3Pt4 (a crystal structure in Alexandria, relaxed with GGA-PBE; a wavelength of 1.5418 Å).
No peak broadening, texture or thermal motion is included.

Structure:
abc: 8.9570 5.7552 4.6318
angles: 90.00 90.00 90.00
Space group Pmma (No. 51)
Unique sites:
Cd 0.0000 0.0000 0.0000 (multiplicity 2)
Cu 0.0000 0.5000 0.0000 (multiplicity 2)
Cu 0.2500 0.0000 0.3831 (multiplicity 2)
Cu 0.2500 0.5000 0.3592 (multiplicity 2)
Pt 0.0000 0.2602 0.5000 (multiplicity 4)
Pt 0.2500 0.2617 0.8649 (multiplicity 4)

Largest 6 diffraction maxima, in order of rising 2θ, 10 to 80 degrees two-theta:
Position (°2θ), Rel. int.
27.71, 229
38.17, 235
40.26, 589
42.12, 1000
44.02, 206
74.47, 183

---

(7)
Structure and simulated X-ray diffraction stick pattern of Cd5CuPt6 (a crystal structure in Alexandria, relaxed with GGA-PBE; a wavelength of 1.5418 Å).
No peak broadening, texture or thermal motion is included.

Structure:
abc: 4.1906 7.7732 12.5403
angles: 90.00 90.00 90.00
Space group Immm (No. 71)
Unique sites:
Cd 0.0000 0.0000 0.0000 (multiplicity 2)
Cd 0.0000 0.0000 0.3362 (multiplicity 4)
Cd 0.0000 0.5000 0.3334 (multiplicity 4)
Cu 0.0000 0.5000 0.0000 (multiplicity 2)
Pt 0.0000 0.2426 0.5000 (multiplicity 4)
Pt 0.0000 0.2547 0.1631 (multiplicity 8)

Largest 6 diffraction maxima, in order of rising 2θ, 10 to 80 degrees two-theta:
Position (°2θ), Rel. int.
38.22, 1000
43.18, 178
43.29, 175
46.75, 140
65.55, 200
75.87, 134

---

(8)
Structure and simulated X-ray diffraction stick pattern of CdCuPt5 (a crystal structure in Alexandria, relaxed with GGA-PBE; a wavelength of 1.5418 Å).
No peak broadening, texture or thermal motion is included.

Structure:
abc: 5.1627 8.6508 7.6545
angles: 90.00 90.00 90.00
Space group Imm2 (No. 44)
Unique sites:
Cd 0.0000 0.0000 0.0000 (multiplicity 2)
Cu 0.0000 0.5000 0.1282 (multiplicity 2)
Pt 0.0000 0.0000 0.6153 (multiplicity 2)
Pt 0.0000 0.2472 0.7713 (multiplicity 4)
Pt 0.2480 0.5000 0.8233 (multiplicity 4)

Largest 6 diffraction maxima, in order of rising 2θ, 10 to 80 degrees two-theta:
Position (°2θ), Rel. int.
15.46, 724
20.75, 946
36.72, 513
38.24, 533
41.77, 474
47.40, 1000

---

(9)
Structure and simulated X-ray diffraction stick pattern of Cd4CuPt (a crystal structure in Alexandria, relaxed with GGA-PBE; a wavelength of 1.5418 Å).
No peak broadening, texture or thermal motion is included.

Structure:
abc: 6.6597 6.6597 5.3300
angles: 90.00 90.00 90.00
Space group I422 (No. 97)
Unique sites:
Cd 0.1638 0.3362 0.2500 (multiplicity 8)
Cu 0.0000 0.0000 0.5000 (multiplicity 2)
Pt 0.0000 0.0000 0.0000 (multiplicity 2)

Largest 6 diffraction maxima, in order of rising 2θ, 10 to 80 degrees two-theta:
Position (°2θ), Rel. int.
34.50, 1000
38.83, 389
42.95, 491
43.49, 435
60.70, 186
69.50, 234

---

(10)
Structure and simulated X-ray diffraction stick pattern of CdCuPt (a crystal structure in Alexandria, relaxed with GGA-PBE; a wavelength of 1.5418 Å).
No peak broadening, texture or thermal motion is included.

Structure:
abc: 2.9156 4.1605 4.6368
angles: 101.10 90.40 90.26
Space group P-1 (No. 2)
Unique sites:
Cd 0.0000 0.0000 0.0000 (multiplicity 1)
Cu 0.5000 0.0000 0.5000 (multiplicity 1)
Pt 0.0000 0.5000 0.5000 (multiplicity 1)

Largest 6 diffraction maxima, in order of rising 2θ, 10 to 80 degrees two-theta:
Position (°2θ), Rel. int.
19.51, 489
26.37, 634
30.67, 432
39.62, 547
40.88, 1000
44.38, 395

---

(11)
Structure and simulated X-ray diffraction stick pattern of Cd2CuPt6 (a crystal structure in Alexandria, relaxed with GGA-PBE; a wavelength of 1.5418 Å).
No peak broadening, texture or thermal motion is included.

Structure:
abc: 2.7991 13.4615 7.7546
angles: 90.00 90.00 90.00
Space group Amm2 (No. 38)
Unique sites:
Cd 0.0000 0.1676 0.0000 (multiplicity 4)
Cu 0.5000 0.0000 0.5017 (multiplicity 2)
Pt 0.0000 0.0000 0.7902 (multiplicity 2)
Pt 0.0000 0.1430 0.3560 (multiplicity 4)
Pt 0.5000 0.0000 0.1456 (multiplicity 2)
Pt 0.5000 0.1761 0.6762 (multiplicity 4)

Largest 6 diffraction maxima, in order of rising 2θ, 10 to 80 degrees two-theta:
Position (°2θ), Rel. int.
35.32, 198
39.70, 1000
40.24, 853
42.00, 160
57.81, 245
72.75, 146

---

(12)
Structure and simulated X-ray diffraction stick pattern of Cd4CuPt5 (a crystal structure in Alexandria, relaxed with GGA-PBE; a wavelength of 1.5418 Å).
No peak broadening, texture or thermal motion is included.

Structure:
abc: 3.0111 3.0111 18.6074
angles: 90.00 90.00 90.00
Space group P4/mmm (No. 123)
Unique sites:
Cd 0.0000 0.0000 0.1045 (multiplicity 2)
Cd 0.0000 0.0000 0.3130 (multiplicity 2)
Cu 0.0000 0.0000 0.5000 (multiplicity 1)
Pt 0.5000 0.5000 0.0000 (multiplicity 1)
Pt 0.5000 0.5000 0.2084 (multiplicity 2)
Pt 0.5000 0.5000 0.4169 (multiplicity 2)

Largest 6 diffraction maxima, in order of rising 2θ, 10 to 80 degrees two-theta:
Position (°2θ), Rel. int.
38.46, 1000
42.46, 427
61.60, 141
66.77, 133
75.01, 279
78.67, 102